Theoretical powder XRD pattern
Compound: Ac3Bi4Au3
Radiation: Cu Kα X-rays
Structure: a DFT-relaxed cell (GGA-PBE, Alexandria)
Lines closer than 0.1° are merged.

Lattice parameters (Å, degrees): 9.241 9.241 9.241 109.47 109.47 109.47
Sites, in units of the cell vectors:
Ac 0.125 0.750 0.875
Ac 0.250 0.625 0.375
Ac 0.375 0.250 0.625
Ac 0.625 0.375 0.250
Ac 0.750 0.875 0.125
Ac 0.875 0.125 0.750
Bi 0.000 0.328 0.500
Bi 0.000 0.828 0.500
Bi 0.172 0.172 0.172
Bi 0.328 0.500 0.000
Bi 0.500 0.000 0.328
Bi 0.500 0.000 0.828
Bi 0.672 0.672 0.672
Bi 0.828 0.500 0.000
Au 0.125 0.875 0.250
Au 0.250 0.125 0.875
Au 0.375 0.625 0.750
Au 0.625 0.750 0.375
Au 0.750 0.375 0.625
Au 0.875 0.250 0.125

Top 8 peaks for 2θ = 10–90°, in order of rising 2θ:
| d_spacing | two_theta | Rel. int. |
| --- | --- | --- |
| 3.374 | 26.4 | 19 |
| 2.852 | 31.4 | 100 |
| 2.386 | 37.7 | 37 |
| 2.178 | 41.5 | 16 |
| 2.093 | 43.2 | 11 |
| 1.948 | 46.6 | 12 |
| 1.687 | 54.4 | 12 |
| 1.452 | 64.1 | 11 |

---

Theoretical powder XRD pattern
Compound: DyHoAl2Zn2
Radiation: Cu Kα X-rays
Structure: a DFT-relaxed cell (GGA-PBE, Alexandria)
Lines closer than 0.1° are merged.

Lattice parameters (Å, degrees): 4.474 4.474 7.150 90.00 90.00 120.00
Sites, in units of the cell vectors:
Dy 0.000 0.000 0.000
Ho 0.000 0.000 0.500
Al 0.333 0.667 0.746
Al 0.667 0.333 0.254
Zn 0.333 0.667 0.256
Zn 0.667 0.333 0.744

Top 8 peaks for 2θ = 10–90°, in order of rising 2θ:
| d_spacing | two_theta | Rel. int. |
| --- | --- | --- |
| 3.875 | 23.0 | 38 |
| 2.628 | 34.1 | 100 |
| 2.237 | 40.3 | 48 |
| 1.788 | 51.1 | 8 |
| 1.703 | 53.8 | 27 |
| 1.396 | 67.0 | 21 |
| 1.355 | 69.3 | 25 |
| 1.292 | 73.3 | 8 |

---

Theoretical powder XRD pattern
Compound: DyZnGa3
Radiation: Cu Kα X-rays
Structure: a DFT-relaxed cell (GGA-PBE, Alexandria)
Lines closer than 0.1° are merged.

Lattice parameters (Å, degrees): 5.963 5.953 6.111 90.00 119.11 90.00
Sites, in units of the cell vectors:
Dy 0.000 0.000 0.000
Dy 0.500 0.500 0.000
Zn 0.116 0.500 0.231
Zn 0.616 0.000 0.231
Ga 0.391 0.000 0.783
Ga 0.499 0.249 0.497
Ga 0.499 0.751 0.497
Ga 0.891 0.500 0.783
Ga 0.999 0.251 0.497
Ga 0.999 0.749 0.497

Top 8 peaks for 2θ = 10–90°, in order of rising 2θ:
| d_spacing | two_theta | Rel. int. |
| --- | --- | --- |
| 2.979 | 30.0 | 16 |
| 2.719 | 32.9 | 57 |
| 2.601 | 34.5 | 100 |
| 2.107 | 42.9 | 51 |
| 1.905 | 47.7 | 31 |
| 1.666 | 55.1 | 19 |
| 1.414 | 66.1 | 12 |
| 1.293 | 73.2 | 16 |

---

Theoretical powder XRD pattern
Compound: LaCeTh14
Radiation: Cu Kα X-rays
Structure: a DFT-relaxed cell (GGA-PBE, Alexandria)
Lines closer than 0.1° are merged.

Lattice parameters (Å, degrees): 10.150 7.096 7.096 90.00 90.00 90.00
Sites, in units of the cell vectors:
La 0.000 0.000 0.000
Ce 0.000 0.499 0.499
Th 0.000 0.500 0.999
Th 0.000 0.999 0.500
Th 0.250 0.251 0.251
Th 0.250 0.251 0.748
Th 0.250 0.748 0.251
Th 0.251 0.748 0.748
Th 0.500 0.000 0.000
Th 0.500 0.000 0.500
Th 0.500 0.500 0.000
Th 0.500 0.500 0.500
Th 0.749 0.748 0.748
Th 0.750 0.251 0.251
Th 0.750 0.251 0.748
Th 0.750 0.748 0.251

Top 8 peaks for 2θ = 10–90°, in order of rising 2θ:
| d_spacing | two_theta | Rel. int. |
| --- | --- | --- |
| 2.908 | 30.7 | 100 |
| 2.538 | 35.4 | 17 |
| 2.509 | 35.8 | 34 |
| 1.784 | 51.2 | 25 |
| 1.527 | 60.6 | 15 |
| 1.514 | 61.2 | 29 |
| 1.454 | 64.0 | 13 |
| 1.157 | 83.5 | 13 |

---

Theoretical powder XRD pattern
Compound: Er8P3CS3
Radiation: Cu Kα X-rays
Structure: a DFT-relaxed cell (GGA-PBE, Alexandria)
Lines closer than 0.1° are merged.

Lattice parameters (Å, degrees): 7.761 7.761 7.761 59.99 59.99 59.99
Sites, in units of the cell vectors:
Er 0.227 0.770 0.770
Er 0.230 0.230 0.773
Er 0.230 0.773 0.230
Er 0.247 0.247 0.247
Er 0.753 0.753 0.753
Er 0.770 0.227 0.770
Er 0.770 0.770 0.227
Er 0.773 0.230 0.230
P 0.000 0.000 0.500
P 0.000 0.500 0.000
P 0.500 0.000 0.000
C 0.000 0.000 0.000
S 0.000 0.500 0.500
S 0.500 0.000 0.500
S 0.500 0.500 0.000

Top 8 peaks for 2θ = 10–90°, in order of rising 2θ:
| d_spacing | two_theta | Rel. int. |
| --- | --- | --- |
| 3.168 | 28.2 | 100 |
| 2.744 | 32.6 | 97 |
| 1.940 | 46.8 | 66 |
| 1.655 | 55.5 | 41 |
| 1.584 | 58.2 | 22 |
| 1.259 | 75.5 | 14 |
| 1.227 | 77.8 | 25 |
| 1.120 | 87.0 | 18 |

---

Theoretical powder XRD pattern
Compound: CdAg2Au4
Radiation: Cu Kα X-rays
Structure: a DFT-relaxed cell (GGA-PBE, Alexandria)
Lines closer than 0.1° are merged.

Lattice parameters (Å, degrees): 6.135 9.309 5.575 90.00 116.89 90.00
Sites, in units of the cell vectors:
Cd 0.000 0.000 0.000
Cd 0.000 0.500 0.500
Ag 0.281 0.000 0.639
Ag 0.281 0.500 0.139
Ag 0.719 0.000 0.361
Ag 0.719 0.500 0.861
Au 0.001 0.249 0.748
Au 0.001 0.251 0.248
Au 0.499 0.749 0.500
Au 0.499 0.751 0.000
Au 0.501 0.249 0.000
Au 0.501 0.251 0.500
Au 0.999 0.749 0.752
Au 0.999 0.751 0.252

Top 8 peaks for 2θ = 10–90°, in order of rising 2θ:
| d_spacing | two_theta | Rel. int. |
| --- | --- | --- |
| 4.654 | 19.1 | 41 |
| 2.901 | 30.8 | 26 |
| 2.736 | 32.7 | 28 |
| 2.391 | 37.6 | 100 |
| 2.359 | 38.2 | 59 |
| 2.327 | 38.7 | 46 |
| 1.955 | 46.5 | 17 |
| 1.496 | 62.0 | 29 |

---

Theoretical powder XRD pattern
Compound: Pr4HgIr2
Radiation: Cu Kα X-rays
Structure: a DFT-relaxed cell (GGA-PBE, Alexandria)
Lines closer than 0.1° are merged.

Lattice parameters (Å, degrees): 7.232 7.283 8.772 108.02 107.80 104.83
Sites, in units of the cell vectors:
Pr 0.000 0.000 0.000
Pr 0.020 0.520 0.041
Pr 0.156 0.312 0.473
Pr 0.432 0.268 0.883
Pr 0.545 0.854 0.598
Pr 0.570 0.905 0.158
Pr 0.702 0.358 0.567
Pr 0.968 0.776 0.443
Hg 0.217 0.723 0.782
Hg 0.455 0.462 0.258
Ir 0.278 0.971 0.332
Ir 0.620 0.629 0.838
Ir 0.802 0.311 0.202
Ir 0.967 0.159 0.709

Top 8 peaks for 2θ = 10–90°, in order of rising 2θ:
| d_spacing | two_theta | Rel. int. |
| --- | --- | --- |
| 3.163 | 28.2 | 44 |
| 2.892 | 30.9 | 60 |
| 2.881 | 31.0 | 100 |
| 2.813 | 31.8 | 58 |
| 2.804 | 31.9 | 54 |
| 2.780 | 32.2 | 49 |
| 2.578 | 34.8 | 84 |
| 2.068 | 43.8 | 48 |

---

Theoretical powder XRD pattern
Compound: BaLiHgO2
Radiation: Cu Kα X-rays
Structure: a DFT-relaxed cell (GGA-PBE, Alexandria)
Lines closer than 0.1° are merged.

Lattice parameters (Å, degrees): 6.133 5.150 6.143 90.00 98.21 90.00
Sites, in units of the cell vectors:
Ba 0.000 0.202 0.250
Ba 0.000 0.798 0.750
Li 0.500 0.019 0.750
Li 0.500 0.981 0.250
Hg 0.500 0.500 0.000
Hg 0.500 0.500 0.500
O 0.271 0.126 0.955
O 0.271 0.874 0.455
O 0.729 0.126 0.545
O 0.729 0.874 0.045

Top 8 peaks for 2θ = 10–90°, in order of rising 2θ:
| d_spacing | two_theta | Rel. int. |
| --- | --- | --- |
| 5.150 | 17.2 | 22 |
| 3.928 | 22.6 | 100 |
| 3.036 | 29.4 | 39 |
| 2.888 | 31.0 | 42 |
| 2.617 | 34.3 | 44 |
| 2.575 | 34.8 | 27 |
| 2.371 | 38.0 | 41 |
| 1.965 | 46.2 | 23 |

---

Theoretical powder XRD pattern
Compound: Sm4TmIn3
Radiation: Cu Kα X-rays
Structure: a DFT-relaxed cell (GGA-PBE, Alexandria)
Lines closer than 0.1° are merged.

Lattice parameters (Å, degrees): 9.605 9.605 9.605 32.92 32.92 32.92
Sites, in units of the cell vectors:
Sm 0.118 0.118 0.118
Sm 0.370 0.370 0.370
Sm 0.630 0.630 0.630
Sm 0.882 0.882 0.882
Tm 0.500 0.500 0.500
In 0.000 0.000 0.000
In 0.241 0.241 0.241
In 0.759 0.759 0.759

Top 8 peaks for 2θ = 10–90°, in order of rising 2θ:
| d_spacing | two_theta | Rel. int. |
| --- | --- | --- |
| 2.760 | 32.4 | 94 |
| 2.722 | 32.9 | 100 |
| 1.938 | 46.9 | 34 |
| 1.601 | 57.6 | 13 |
| 1.579 | 58.5 | 35 |
| 1.571 | 58.8 | 19 |
| 1.361 | 69.0 | 12 |
| 1.221 | 78.3 | 15 |

---

Theoretical powder XRD pattern
Compound: Mg3B2Ir5
Radiation: Cu Kα X-rays
Structure: a DFT-relaxed cell (GGA-PBE, Alexandria)
Lines closer than 0.1° are merged.

Lattice parameters (Å, degrees): 9.574 9.574 2.955 90.00 90.00 90.00
Sites, in units of the cell vectors:
Mg 0.000 0.000 0.000
Mg 0.177 0.323 0.000
Mg 0.323 0.823 0.000
Mg 0.500 0.500 0.000
Mg 0.677 0.177 0.000
Mg 0.823 0.677 0.000
B 0.126 0.626 0.000
B 0.374 0.126 0.000
B 0.626 0.874 0.000
B 0.874 0.374 0.000
Ir 0.000 0.500 0.500
Ir 0.071 0.781 0.500
Ir 0.219 0.071 0.500
Ir 0.281 0.571 0.500
Ir 0.429 0.281 0.500
Ir 0.500 0.000 0.500
Ir 0.571 0.719 0.500
Ir 0.719 0.429 0.500
Ir 0.781 0.929 0.500
Ir 0.929 0.219 0.500

Top 8 peaks for 2θ = 10–90°, in order of rising 2θ:
| d_spacing | two_theta | Rel. int. |
| --- | --- | --- |
| 4.282 | 20.7 | 58 |
| 3.028 | 29.5 | 53 |
| 2.955 | 30.2 | 100 |
| 2.655 | 33.8 | 55 |
| 2.322 | 38.8 | 78 |
| 2.115 | 42.8 | 75 |
| 1.975 | 45.9 | 58 |
| 1.826 | 50.0 | 53 |

---

Theoretical powder XRD pattern
Compound: Ce5Gd2O13
Radiation: Cu Kα X-rays
Structure: a DFT-relaxed cell (GGA-PBE, Alexandria)
Lines closer than 0.1° are merged.

Lattice parameters (Å, degrees): 22.448 22.448 22.448 9.82 9.82 9.82
Sites, in units of the cell vectors:
Ce 0.000 0.000 0.000
Ce 0.142 0.142 0.142
Ce 0.286 0.286 0.286
Ce 0.428 0.428 0.428
Ce 0.714 0.714 0.714
Gd 0.574 0.574 0.574
Gd 0.856 0.856 0.856
O 0.036 0.036 0.036
O 0.108 0.108 0.108
O 0.183 0.183 0.183
O 0.251 0.251 0.251
O 0.322 0.322 0.322
O 0.393 0.393 0.393
O 0.464 0.464 0.464
O 0.608 0.608 0.608
O 0.679 0.679 0.679
O 0.750 0.750 0.750
O 0.821 0.821 0.821
O 0.888 0.888 0.888
O 0.965 0.965 0.965

Top 8 peaks for 2θ = 10–90°, in order of rising 2θ:
| d_spacing | two_theta | Rel. int. |
| --- | --- | --- |
| 3.191 | 28.0 | 34 |
| 3.145 | 28.4 | 100 |
| 2.733 | 32.8 | 42 |
| 1.943 | 46.7 | 35 |
| 1.922 | 47.3 | 35 |
| 1.660 | 55.4 | 15 |
| 1.647 | 55.8 | 29 |
| 1.640 | 56.1 | 15 |

---

Theoretical powder XRD pattern
Compound: MnPd6Au3
Radiation: Cu Kα X-rays
Structure: a DFT-relaxed cell (GGA-PBE, Alexandria)
Lines closer than 0.1° are merged.

Lattice parameters (Å, degrees): 2.895 4.853 22.974 90.00 90.12 90.00
Sites, in units of the cell vectors:
Mn 0.000 0.000 0.000
Mn 0.000 0.500 0.500
Pd 0.000 0.157 0.402
Pd 0.000 0.189 0.697
Pd 0.000 0.311 0.197
Pd 0.000 0.343 0.902
Pd 0.000 0.657 0.098
Pd 0.000 0.689 0.803
Pd 0.000 0.811 0.303
Pd 0.000 0.843 0.598
Pd 0.500 0.150 0.095
Pd 0.500 0.350 0.595
Pd 0.500 0.650 0.405
Pd 0.500 0.850 0.905
Au 0.500 0.000 0.500
Au 0.500 0.188 0.802
Au 0.500 0.312 0.302
Au 0.500 0.500 0.000
Au 0.500 0.688 0.698
Au 0.500 0.812 0.198

Top 8 peaks for 2θ = 10–90°, in order of rising 2θ:
| d_spacing | two_theta | Rel. int. |
| --- | --- | --- |
| 2.374 | 37.9 | 28 |
| 2.365 | 38.0 | 46 |
| 2.313 | 38.9 | 35 |
| 2.297 | 39.2 | 68 |
| 2.282 | 39.5 | 100 |
| 2.085 | 43.4 | 60 |
| 1.982 | 45.8 | 31 |
| 1.410 | 66.3 | 21 |

---

Theoretical powder XRD pattern
Compound: Ba2Ag2Sn3
Radiation: Cu Kα X-rays
Structure: a DFT-relaxed cell (GGA-PBE, Alexandria)
Lines closer than 0.1° are merged.

Lattice parameters (Å, degrees): 11.820 4.959 7.718 90.00 110.17 90.00
Sites, in units of the cell vectors:
Ba 0.156 0.000 0.285
Ba 0.344 0.500 0.715
Ba 0.656 0.500 0.285
Ba 0.844 0.000 0.715
Ag 0.143 0.000 0.774
Ag 0.357 0.500 0.226
Ag 0.643 0.500 0.774
Ag 0.857 0.000 0.226
Sn 0.000 0.500 0.500
Sn 0.104 0.500 0.935
Sn 0.396 0.000 0.065
Sn 0.500 0.000 0.500
Sn 0.604 0.000 0.935
Sn 0.896 0.500 0.065

Top 8 peaks for 2θ = 10–90°, in order of rising 2θ:
| d_spacing | two_theta | Rel. int. |
| --- | --- | --- |
| 3.045 | 29.3 | 100 |
| 2.965 | 30.1 | 72 |
| 2.774 | 32.3 | 29 |
| 2.687 | 33.3 | 53 |
| 2.652 | 33.8 | 51 |
| 2.644 | 33.9 | 45 |
| 2.480 | 36.2 | 66 |
| 1.809 | 50.4 | 47 |